1.
For NpCo2NiO8, a cell relaxed with GGA+U gives the theoretical XRD peak list in this record (Cu Ka).
Intensities are scaled so that the largest is 100.

Structural model:
Unit cell a=5.7386 b=5.7386 c=5.7386 alpha=110.02 beta=110.02 gamma=108.37
Sites, in units of the cell vectors:
Np (0.0000, 0.0000, 0.0000)
Co (0.2500, 0.7500, 0.5000)
Co (0.5000, 0.5000, 0.0000)
Ni (0.7500, 0.2500, 0.5000)
O (0.0498, 0.3432, 0.2933)
O (0.0498, 0.7565, 0.7067)
O (0.1330, 0.3200, 0.8130)
O (0.2435, 0.9502, 0.2933)
O (0.5070, 0.3200, 0.1870)
O (0.6568, 0.9502, 0.7067)
O (0.6800, 0.4930, 0.8130)
O (0.6800, 0.8670, 0.1870)

Largest 6 diffraction maxima, by intensity, 2θ = 15–90°:
2θ = 27.10°, intensity 100.0
2θ = 32.89°, intensity 96.3
2θ = 18.88°, intensity 70.4
2θ = 51.67°, intensity 68.3
2θ = 19.07°, intensity 35.1
2θ = 33.24°, intensity 23.6

2.
For CoNiO, a cell relaxed with GGA+U gives the theoretical XRD peak list in this record (Cu Ka).
Intensities are scaled so that the largest is 100.

Structural model:
Unit cell a=2.8679 b=8.4117 c=5.9403 alpha=90.00 beta=90.00 gamma=90.00
Sites, in units of the cell vectors:
Co (0.0000, 0.0505, 0.0000)
Co (0.0000, 0.2845, 0.3639)
Co (0.5000, 0.7155, 0.8639)
Co (0.5000, 0.9495, 0.5000)
Ni (0.0000, 0.5405, 0.5821)
Ni (0.0000, 0.6902, 0.2273)
Ni (0.5000, 0.3098, 0.7273)
Ni (0.5000, 0.4595, 0.0821)
O (0.0000, 0.0529, 0.3307)
O (0.0000, 0.2899, 0.9991)
O (0.5000, 0.7101, 0.4991)
O (0.5000, 0.9471, 0.8307)

Largest 6 diffraction maxima, by intensity, 2θ = 15–90°:
2θ = 36.39°, intensity 100.0
2θ = 37.05°, intensity 76.8
2θ = 41.01°, intensity 69.4
2θ = 47.89°, intensity 68.4
2θ = 31.94°, intensity 67.0
2θ = 45.25°, intensity 65.3

3.
For Co4NiO8, a cell relaxed with GGA+U gives the theoretical XRD peak list in this record (Cu Ka).
Intensities are scaled so that the largest is 100.

Structural model:
Unit cell a=5.7479 b=5.7479 c=5.8794 alpha=119.88 beta=119.88 gamma=59.55
Sites, in units of the cell vectors:
Co (0.0000, 0.0000, 0.0000)
Co (0.0000, 0.5000, 0.0000)
Co (0.5000, 0.0000, 0.0000)
Co (0.5000, 0.5000, 0.5000)
Ni (0.5000, 0.5000, 0.0000)
O (0.2323, 0.7216, 0.2161)
O (0.2505, 0.2505, 0.2176)
O (0.2650, 0.2650, 0.8067)
O (0.2784, 0.7677, 0.7839)
O (0.7216, 0.2323, 0.2161)
O (0.7350, 0.7350, 0.1933)
O (0.7495, 0.7495, 0.7824)
O (0.7677, 0.2784, 0.7839)

Largest 6 diffraction maxima, by intensity, 2θ = 15–90°:
2θ = 18.43°, intensity 100.0
2θ = 44.23°, intensity 71.5
2θ = 44.34°, intensity 34.7
2θ = 36.77°, intensity 22.1
2θ = 38.47°, intensity 20.5
2θ = 64.89°, intensity 19.1

4.
For CoNi2P2O8, a cell relaxed with GGA+U gives the theoretical XRD peak list in this record (Cu Ka).
Intensities are scaled so that the largest is 100.

Structural model:
Unit cell a=5.9441 b=4.7594 c=10.2839 alpha=90.00 beta=90.75 gamma=90.00
Sites, in units of the cell vectors:
Co (0.2380, 0.0000, 0.0248)
Co (0.7620, 0.5000, 0.9752)
Ni (0.2414, 0.5295, 0.5252)
Ni (0.4982, 0.5172, 0.2520)
Ni (0.5018, 0.0172, 0.7480)
Ni (0.7586, 0.0295, 0.4748)
P (0.2525, 0.0936, 0.3472)
P (0.2577, 0.4414, 0.8441)
P (0.7423, 0.9414, 0.1559)
P (0.7475, 0.5936, 0.6528)
O (0.0548, 0.2126, 0.4264)
O (0.0620, 0.3277, 0.9271)
O (0.2549, 0.2073, 0.2057)
O (0.2550, 0.3258, 0.7029)
O (0.2701, 0.7712, 0.3541)
O (0.2750, 0.7636, 0.8506)
O (0.4655, 0.2507, 0.4125)
O (0.4705, 0.2842, 0.9075)
O (0.5295, 0.7842, 0.0925)
O (0.5345, 0.7507, 0.5875)
O (0.7250, 0.2636, 0.1494)
O (0.7299, 0.2712, 0.6459)
O (0.7451, 0.7073, 0.7943)
O (0.7450, 0.8258, 0.2971)
O (0.9380, 0.8277, 0.0729)
O (0.9452, 0.7126, 0.5736)

Largest 6 diffraction maxima, by intensity, 2θ = 15–90°:
2θ = 25.56°, intensity 100.0
2θ = 35.49°, intensity 72.7
2θ = 23.02°, intensity 45.6
2θ = 32.18°, intensity 43.9
2θ = 36.61°, intensity 32.8
2θ = 52.52°, intensity 24.0

> What is the formula in the first record?

NpCo2NiO8